Starting from a DFT-relaxed cell (PBE, Alexandria), the powder diffractogram of Zr3Si was calculated for Cu Kα (λ = 1.5418 Å).
Peak positions follow from Bragg's law for the DFT cell and can differ from measured ones.

Structure:
```
data_Zr3Si
_cell_length_a 11.0322
_cell_length_b 11.0322
_cell_length_c 5.4385
_cell_angle_alpha 90.00
_cell_angle_beta 90.00
_cell_angle_gamma 90.00
_space_group_name_H-M_alt 'P 42/n'
_space_group_IT_number 86
loop_
_space_group_symop_operation_xyz
'x,y,z'
'-x,-y,-z'
'-y,x+1/2,z+1/2'
'y,-x+1/2,-z+1/2'
'-x+1/2,-y+1/2,z'
'x+1/2,y+1/2,-z'
'y+1/2,-x,z+1/2'
'-y+1/2,x,-z+1/2'
loop_
_atom_site_label
_atom_site_type_symbol
_atom_site_fract_x
_atom_site_fract_y
_atom_site_fract_z
Zr1 Zr 0.0338 0.5703 0.2414
Zr2 Zr 0.1117 0.2234 0.0273
Zr3 Zr 0.1426 0.6676 0.7181
Si1 Si 0.0446 0.2084 0.5368
```

Most intense lines, 15 to 90 degrees two-theta, by intensity:
2θ (°)	Rel. int.
33.61	100
37.46	77
34.94	57
36.42	41
30.44	37
34.49	34
59.23	29
42.13	24

Starting from a DFT-relaxed cell (PBE, Alexandria), the powder diffractogram of BaAcNpN4 was calculated for Cu Kα (λ = 1.5418 Å).
Peak positions follow from Bragg's law for the DFT cell and can differ from measured ones.

Structure:
```
data_BaAcNpN4
_cell_length_a 4.3125
_cell_length_b 4.3125
_cell_length_c 13.4031
_cell_angle_alpha 90.00
_cell_angle_beta 90.00
_cell_angle_gamma 90.00
_space_group_name_H-M_alt 'I 4 m m'
_space_group_IT_number 107
_space_group_name_Hall 'I 4 -2'
loop_
_atom_site_label
_atom_site_type_symbol
_atom_site_fract_x
_atom_site_fract_y
_atom_site_fract_z
Ba1 Ba 0.0000 0.0000 0.0000
Ac1 Ac 0.0000 0.0000 0.7091
Np1 Np 0.0000 0.0000 0.3537
N1 N 0.0000 0.0000 0.2009
N2 N 0.0000 0.0000 0.5060
N3 N 0.0000 0.5000 0.3425
```

Most intense lines, 15 to 90 degrees two-theta, by intensity:
2θ (°)	Rel. int.
28.77	100
29.29	58
51.62	42
41.90	27
50.66	18
39.59	14
59.59	13
83.71	11

Starting from a DFT-relaxed cell (PBE, Alexandria), the powder diffractogram of Li6AgPd2 was calculated for Cu Kα (λ = 1.5418 Å).
Peak positions follow from Bragg's law for the DFT cell and can differ from measured ones.

Structure:
```
data_Li6AgPd2
_cell_length_a 7.4856
_cell_length_b 7.4856
_cell_length_c 8.2109
_cell_angle_alpha 90.00
_cell_angle_beta 90.00
_cell_angle_gamma 120.00
_space_group_name_H-M_alt 'R -3 m'
_space_group_IT_number 166
_space_group_name_Hall '-R 3 2"'
loop_
_atom_site_label
_atom_site_type_symbol
_atom_site_fract_x
_atom_site_fract_y
_atom_site_fract_z
Li1 Li 0.0000 0.3302 0.0000
Ag1 Ag 0.0000 0.0000 0.5000
Pd1 Pd 0.0000 0.0000 0.1659
```

Most intense lines, 15 to 90 degrees two-theta, by intensity:
2θ (°)	Rel. int.
23.77	100
40.85	57
41.80	29
54.07	18
59.87	18
75.68	18
48.65	14
32.72	13

Starting from a DFT-relaxed cell (PBE, Alexandria), the powder diffractogram of Dy2Te5O13 was calculated for Cu Kα (λ = 1.5418 Å).
Peak positions follow from Bragg's law for the DFT cell and can differ from measured ones.

Structure:
```
data_Dy2Te5O13
_cell_length_a 7.0420
_cell_length_b 8.7811
_cell_length_c 10.8035
_cell_angle_alpha 89.45
_cell_angle_beta 87.48
_cell_angle_gamma 75.14
_space_group_name_H-M_alt 'P -1'
_space_group_IT_number 2
loop_
_space_group_symop_operation_xyz
'x,y,z'
'-x,-y,-z'
loop_
_atom_site_label
_atom_site_type_symbol
_atom_site_fract_x
_atom_site_fract_y
_atom_site_fract_z
Dy1 Dy 0.9996 0.2368 0.2383
Dy2 Dy 0.4462 0.9728 0.8216
Te1 Te 0.1214 0.8507 0.1077
Te2 Te 0.1537 0.3038 0.6448
Te3 Te 0.2716 0.8943 0.4894
Te4 Te 0.2915 0.3746 0.9777
Te5 Te 0.4412 0.3991 0.3010
O1 O 0.0439 0.8505 0.5670
O2 O 0.0609 0.3165 0.0382
O3 O 0.0654 0.5166 0.6932
O4 O 0.0672 0.7652 0.2753
O5 O 0.1225 0.9891 0.8937
O6 O 0.2367 0.9944 0.1871
O7 O 0.3146 0.2345 0.2857
O8 O 0.3268 0.2409 0.7764
O9 O 0.3276 0.7289 0.7770
O10 O 0.3362 0.0150 0.6191
O11 O 0.3506 0.4802 0.1257
O12 O 0.4583 0.6952 0.5217
O13 O 0.4664 0.1696 0.9994
```

Most intense lines, 15 to 90 degrees two-theta, by intensity:
2θ (°)	Rel. int.
26.94	100
27.27	59
27.48	48
30.47	34
31.67	25
32.22	24
51.77	16
45.08	14

Starting from a DFT-relaxed cell (PBE, Alexandria), the powder diffractogram of CeDyEr5Tm2 was calculated for Cu Kα (λ = 1.5418 Å).
Peak positions follow from Bragg's law for the DFT cell and can differ from measured ones.

Structure:
```
data_CeDyEr5Tm2
_cell_length_a 5.6269
_cell_length_b 21.2308
_cell_length_c 9.4715
_cell_angle_alpha 90.00
_cell_angle_beta 90.00
_cell_angle_gamma 90.00
_space_group_name_H-M_alt 'C m c 21'
_space_group_IT_number 36
loop_
_space_group_symop_operation_xyz
'x,y,z'
'-x,-y,z+1/2'
'-x,y,z'
'x,-y,z+1/2'
'x+1/2,y+1/2,z'
'-x+1/2,-y+1/2,z+1/2'
'-x+1/2,y+1/2,z'
'x+1/2,-y+1/2,z+1/2'
loop_
_atom_site_label
_atom_site_type_symbol
_atom_site_fract_x
_atom_site_fract_y
_atom_site_fract_z
Ce1 Ce 0.0000 0.1920 0.0000
Dy1 Dy 0.0000 0.4032 0.5954
Er1 Er 0.0000 0.0138 0.0081
Er2 Er 0.0000 0.2667 0.6892
Er3 Er 0.0000 0.3062 0.3077
Er4 Er 0.0000 0.3938 0.9786
Er5 Er 0.0000 0.4710 0.2752
Tm1 Tm 0.0000 0.1132 0.6995
Tm2 Tm 0.0000 0.1336 0.3145
```

Most intense lines, 15 to 90 degrees two-theta, by intensity:
2θ (°)	Rel. int.
32.48	100
32.80	63
31.81	60
34.93	43
57.10	25
26.90	25
42.13	15
64.93	15

Starting from a DFT-relaxed cell (PBE, Alexandria), the powder diffractogram of Pm3CuC2N6 was calculated for Cu Kα (λ = 1.5418 Å).
Peak positions follow from Bragg's law for the DFT cell and can differ from measured ones.

Structure:
```
data_Pm3CuC2N6
_cell_length_a 5.3667
_cell_length_b 5.3667
_cell_length_c 6.1910
_cell_angle_alpha 90.00
_cell_angle_beta 90.00
_cell_angle_gamma 120.00
_space_group_name_H-M_alt 'P -3 m 1'
_space_group_IT_number 164
_space_group_name_Hall '-P 3 2"'
loop_
_atom_site_label
_atom_site_type_symbol
_atom_site_fract_x
_atom_site_fract_y
_atom_site_fract_z
Pm1 Pm 0.0000 0.0000 0.0000
Pm2 Pm 0.3333 0.6667 0.6604
Cu1 Cu 0.0000 0.0000 0.5000
C1 C 0.3333 0.6667 0.2544
N1 N 0.1867 0.3734 0.2687
```

Most intense lines, 15 to 90 degrees two-theta, by intensity:
2θ (°)	Rel. int.
33.39	100
34.82	91
23.94	90
49.02	42
41.51	40
60.61	33
54.28	24
56.23	24

Starting from a DFT-relaxed cell (PBE, Alexandria), the powder diffractogram of Pm6Sm3DyEr2 was calculated for Cu Kα (λ = 1.5418 Å).
Peak positions follow from Bragg's law for the DFT cell and can differ from measured ones.

Structure:
```
data_Pm6Sm3DyEr2
_cell_length_a 6.2655
_cell_length_b 10.8518
_cell_length_c 11.9253
_cell_angle_alpha 90.00
_cell_angle_beta 100.07
_cell_angle_gamma 90.00
_space_group_name_H-M_alt 'C 1 2/m 1'
_space_group_IT_number 12
loop_
_space_group_symop_operation_xyz
'x,y,z'
'-x,-y,-z'
'-x,y,-z'
'x,-y,z'
'x+1/2,y+1/2,z'
'-x+1/2,-y+1/2,-z'
'-x+1/2,y+1/2,-z'
'x+1/2,-y+1/2,z'
loop_
_atom_site_label
_atom_site_type_symbol
_atom_site_fract_x
_atom_site_fract_y
_atom_site_fract_z
Pm1 Pm 0.2492 0.0000 0.2469
Pm2 Pm 0.2504 0.1668 0.7531
Sm1 Sm 0.0000 0.0000 0.5000
Sm2 Sm 0.0000 0.3333 0.5000
Dy1 Dy 0.0000 0.5000 0.0000
Er1 Er 0.0000 0.1666 0.0000
```

Most intense lines, 15 to 90 degrees two-theta, by intensity:
2θ (°)	Rel. int.
30.28	100
35.16	67
30.45	33
50.46	24
60.02	24
50.68	24
60.09	19
60.28	14

Starting from a DFT-relaxed cell (PBE, Alexandria), the powder diffractogram of Li2P3Pd9 was calculated for Cu Kα (λ = 1.5418 Å).
Peak positions follow from Bragg's law for the DFT cell and can differ from measured ones.

Structure:
```
data_Li2P3Pd9
_cell_length_a 12.5676
_cell_length_b 7.5555
_cell_length_c 9.5507
_cell_angle_alpha 90.00
_cell_angle_beta 114.01
_cell_angle_gamma 90.00
_space_group_name_H-M_alt 'C 1 2/c 1'
_space_group_IT_number 15
loop_
_space_group_symop_operation_xyz
'x,y,z'
'-x,-y,-z'
'-x,y,-z+1/2'
'x,-y,z+1/2'
'x+1/2,y+1/2,z'
'-x+1/2,-y+1/2,-z'
'-x+1/2,y+1/2,-z+1/2'
'x+1/2,-y+1/2,z+1/2'
loop_
_atom_site_label
_atom_site_type_symbol
_atom_site_fract_x
_atom_site_fract_y
_atom_site_fract_z
Li1 Li 0.1576 0.0921 0.2505
P1 P 0.0754 0.2362 0.4842
P2 P 0.2500 0.2500 0.0000
Pd1 Pd 0.0000 0.3772 0.2500
Pd2 Pd 0.0625 0.0773 0.9306
Pd3 Pd 0.1124 0.4234 0.0417
Pd4 Pd 0.1250 0.2970 0.7439
Pd5 Pd 0.2390 0.3944 0.4037
```

Most intense lines, 15 to 90 degrees two-theta, by intensity:
2θ (°)	Rel. int.
41.86	100
31.38	87
38.95	84
39.09	63
73.89	60
43.22	52
40.50	44
40.18	44